Computed PXRD pattern
Compound: La3CeSn2N
Radiation: copper Kα
Structure: a PBE-relaxed structure
Kinematic intensities with the Lorentz-polarization factor, no thermal factor.

Structural model:
Lattice parameters (Å, degrees): 9.2373 9.2373 9.2373 149.83 148.67 44.05
Fractional positions:
La 0.0000 0.0000 0.0000
La 0.3332 0.8332 0.5000
La 0.6668 0.1668 0.5000
Ce 0.5000 0.5000 0.0000
Sn 0.1388 0.6388 0.5000
Sn 0.8612 0.3612 0.5000
N 0.5000 0.0000 0.5000

Most intense lines, 5° ≤ 2θ ≤ 70°, by angle:
2θ (°)  intensity
27.80  79.1
31.34  35.0
33.28  100.0
36.01  33.5
37.41  30.2
48.47  20.6
49.58  19.3
52.90  22.2
62.78  22.1
63.02  16.3